No. 1
The following is a calculated powder XRD pattern of ThS3O12. It was derived from a cell relaxed with GGA-PBE, using Cu Ka.

Crystal structure
Unit cell a=8.4586 b=8.4586 c=25.7096 alpha=90.00 beta=90.00 gamma=120.00
Space group R3c (No. 161, hexagonal axes)
Asymmetric unit:
1 Th 0.0000 0.0000 0.0000 x6
2 S 0.0350 0.3407 0.0605 x18
3 O 0.1380 0.3360 0.0133 x18
4 O 0.1670 0.4057 0.3829 x18
5 O 0.1684 0.4345 0.1034 x18
6 O 0.1908 0.4381 0.7409 x18

Principal peaks in the range 10° ≤ 2θ ≤ 80°, sorted by position:
two_theta  I/Imax  h k l
13.91  100  0 1 2
18.36  37  1 0 4
28.04  19  0 2 4
29.68  33  1 1 6
33.10  17  1 2 2
43.13  17  1 2 8

---

No. 2
The following is a calculated powder XRD pattern of Dy6Zn2In. It was derived from a cell relaxed with GGA-PBE, using Cu Ka.

Crystal structure
Unit cell a=9.734 b=9.852 c=10.219 alpha=90.00 beta=90.00 gamma=90.00
Space group Immm (No. 71)
Asymmetric unit:
1 Dy 0.000 0.214 0.184 x8
2 Dy 0.184 0.226 0.500 x8
3 Dy 0.207 0.500 0.259 x8
4 Zn 0.000 0.000 0.376 x4
5 Zn 0.136 0.000 0.000 x4
6 In 0.000 0.500 0.000 x2
7 In 0.000 0.500 0.500 x2

Principal peaks in the range 10° ≤ 2θ ≤ 80°, sorted by position:
two_theta  I/Imax  h k l
31.21  100  2 2 2
33.28  36  1 2 3
33.97  33  3 1 2
34.24  32  3 2 1
36.48  29  0 4 0
57.64  30  3 5 2